[1]
KNa2Dy2: computed PXRD pattern (CuKα), based on a crystal structure in OQMD, relaxed with GGA-PBE.
Neutral-atom scattering factors, no anomalous dispersion.

Peak list (8 most intense, 2θ = 5–70°, in order of rising 2θ)
d = 5.684 Å, rel. 100; d = 4.311 Å, rel. 28; d = 3.010 Å, rel. 76; d = 2.993 Å, rel. 87; d = 2.960 Å, rel. 29; d = 2.817 Å, rel. 31; d = 2.440 Å, rel. 34; d = 1.903 Å, rel. 22

Cell lengths 9.300, 6.906, 10.481 Å; angles 60.61, 40.31, 79.08 degrees
Sites, in units of the cell vectors:
K1 0.000 0.000 0.000
K2 0.250 0.250 0.250
Na1 0.114 0.470 0.981
Na2 0.269 0.815 0.136
Na3 0.470 0.114 0.435
Na4 0.815 0.269 0.780
Dy1 0.369 0.645 0.428
Dy2 0.645 0.369 0.558
Dy3 0.692 0.822 0.605
Dy4 0.822 0.692 0.881

=====

[2]
KDyTmNi2: computed PXRD pattern (CuKα), based on a crystal structure in OQMD, relaxed with GGA-PBE.
Neutral-atom scattering factors, no anomalous dispersion.

Peak list (8 most intense, 2θ = 5–70°, in order of rising 2θ)
d = 8.883 Å, rel. 100; d = 3.340 Å, rel. 26; d = 2.961 Å, rel. 17; d = 2.826 Å, rel. 13; d = 2.684 Å, rel. 21; d = 2.468 Å, rel. 45; d = 2.157 Å, rel. 28; d = 1.774 Å, rel. 11

Cell lengths 3.663, 4.045, 17.765 Å; angles 90.00, 90.00, 90.00 degrees
Sites, in units of the cell vectors:
K1 0.000 0.000 0.000
K2 0.000 0.500 0.500
Dy1 0.500 0.000 0.328
Dy2 0.500 0.500 0.828
Tm1 0.500 0.000 0.670
Tm2 0.500 0.500 0.170
Ni1 0.000 0.000 0.204
Ni2 0.000 0.000 0.790
Ni3 0.000 0.500 0.290
Ni4 0.000 0.500 0.704

=====

[3]
KDyYNi2: computed PXRD pattern (CuKα), based on a crystal structure in OQMD, relaxed with GGA-PBE.
Neutral-atom scattering factors, no anomalous dispersion.

Peak list (8 most intense, 2θ = 5–70°, in order of rising 2θ)
d = 8.937 Å, rel. 100; d = 3.339 Å, rel. 18; d = 2.979 Å, rel. 14; d = 2.856 Å, rel. 15; d = 2.700 Å, rel. 22; d = 2.483 Å, rel. 38; d = 2.171 Å, rel. 28; d = 1.782 Å, rel. 11

Cell lengths 3.714, 4.032, 17.874 Å; angles 90.00, 90.00, 90.00 degrees
Sites, in units of the cell vectors:
K1 0.000 0.000 0.000
K2 0.000 0.500 0.500
Dy1 0.500 0.000 0.331
Dy2 0.500 0.500 0.831
Y1 0.500 0.000 0.670
Y2 0.500 0.500 0.170
Ni1 0.000 0.000 0.211
Ni2 0.000 0.000 0.794
Ni3 0.000 0.500 0.294
Ni4 0.000 0.500 0.711

=====

[4]
K2Dy2O5: computed PXRD pattern (CuKα), based on a crystal structure in OQMD, relaxed with GGA-PBE.
Neutral-atom scattering factors, no anomalous dispersion.

Peak list (8 most intense, 2θ = 5–70°, in order of rising 2θ)
d = 4.354 Å, rel. 57; d = 3.079 Å, rel. 64; d = 2.756 Å, rel. 100; d = 2.328 Å, rel. 55; d = 2.177 Å, rel. 45; d = 1.708 Å, rel. 48; d = 1.540 Å, rel. 27; d = 1.377 Å, rel. 23

Cell lengths 4.354, 4.354, 7.119 Å; angles 90.00, 90.00, 90.00 degrees
Sites, in units of the cell vectors:
K1 0.000 0.000 0.186
K2 0.000 0.000 0.814
Dy1 0.500 0.500 0.000
Dy2 0.500 0.500 0.500
O1 0.000 0.000 0.500
O2 0.000 0.500 0.207
O3 0.000 0.500 0.793
O4 0.500 0.000 0.207
O5 0.500 0.000 0.793

=====

[5]
KDyO3: computed PXRD pattern (CuKα), based on a crystal structure in OQMD, relaxed with GGA-PBE.
Neutral-atom scattering factors, no anomalous dispersion.

Peak list (8 most intense, 2θ = 5–70°, in order of rising 2θ)
d = 4.405 Å, rel. 95; d = 3.147 Å, rel. 26; d = 3.115 Å, rel. 100; d = 3.084 Å, rel. 24; d = 2.203 Å, rel. 50; d = 1.970 Å, rel. 30; d = 1.811 Å, rel. 21; d = 1.786 Å, rel. 21

Cell lengths 6.294, 8.811, 6.168 Å; angles 90.00, 90.00, 90.00 degrees
Sites, in units of the cell vectors:
K1 0.013 0.250 0.004
K2 0.487 0.750 0.504
K3 0.513 0.250 0.496
K4 0.987 0.750 0.996
Dy1 0.000 0.000 0.500
Dy2 0.000 0.500 0.500
Dy3 0.500 0.000 0.000
Dy4 0.500 0.500 0.000
O1 0.015 0.750 0.466
O2 0.231 0.519 0.770
O3 0.231 0.981 0.770
O4 0.269 0.019 0.270
O5 0.269 0.481 0.270
O6 0.485 0.250 0.966
O7 0.515 0.750 0.034
O8 0.731 0.519 0.730
O9 0.731 0.981 0.730
O10 0.769 0.019 0.230
O11 0.769 0.481 0.230
O12 0.985 0.250 0.534

=====

[6]
KDySO: computed PXRD pattern (CuKα), based on a crystal structure in OQMD, relaxed with GGA-PBE.
Neutral-atom scattering factors, no anomalous dispersion.

Peak list (8 most intense, 2θ = 5–70°, in order of rising 2θ)
d = 10.826 Å, rel. 100; d = 3.513 Å, rel. 47; d = 2.947 Å, rel. 51; d = 2.751 Å, rel. 37; d = 2.452 Å, rel. 25; d = 2.011 Å, rel. 19; d = 1.745 Å, rel. 13; d = 1.661 Å, rel. 19

Cell lengths 5.690, 5.685, 11.193 Å; angles 90.00, 104.72, 90.00 degrees
Sites, in units of the cell vectors:
K1 0.198 0.000 0.397
K2 0.302 0.500 0.603
K3 0.698 0.500 0.397
K4 0.802 0.000 0.603
Dy1 0.201 0.251 0.902
Dy2 0.299 0.751 0.098
Dy3 0.701 0.751 0.902
Dy4 0.799 0.251 0.098
S1 0.145 0.501 0.289
S2 0.355 0.001 0.711
S3 0.645 0.001 0.289
S4 0.855 0.501 0.711
O1 0.000 0.002 0.000
O2 0.000 0.502 0.000
O3 0.500 0.002 0.000
O4 0.500 0.502 0.000